Diffraction record for Ca3SnS5. The PXRD pattern is calculated, not measured: it uses a DFT-relaxed cell (GGA-PBE, the Materials Project) and Cu Kα (λ = 1.5418 Å).
Kinematic intensities with the Lorentz-polarization factor, no thermal factor.

Structural model:
```
Ca3SnS5
1.0
7.8027 -4.4988 0.0000
7.8027 4.4988 0.0000
-5.0988 0.0000 10.9693
Ca Sn S
9 3 15
Direct
0.0000 0.0000 0.0000
0.0000 0.4828 0.9959
0.1979 0.1979 0.6836
0.1987 0.7726 0.6881
0.2513 0.7790 0.3273
0.4828 0.0000 0.9959
0.7726 0.1987 0.6881
0.7790 0.2513 0.3273
0.7808 0.7808 0.3259
0.2825 0.2825 0.3646
0.4923 0.4923 0.9958
0.7193 0.7193 0.6690
0.1103 0.1103 0.2743
0.1101 0.5364 0.2725
0.1139 0.1139 0.8575
0.3256 0.3256 0.9314
0.3285 0.7689 0.9394
0.3570 0.3570 0.5876
0.4556 0.8832 0.7407
0.5364 0.1101 0.2725
0.5567 0.5567 0.2113
0.6540 0.6540 0.4546
0.7689 0.3285 0.9394
0.8639 0.8639 0.1093
0.8832 0.4556 0.7407
0.8865 0.8865 0.7481
0.9933 0.9933 0.4988
```

Top 12 peaks for 10° ≤ 2θ ≤ 80°, in order of rising 2θ:
2θ = 17.55°, rel. 32
2θ = 17.68°, rel. 59
2θ = 19.72°, rel. 90
2θ = 22.97°, rel. 100
2θ = 24.34°, rel. 69
2θ = 25.17°, rel. 24
2θ = 25.33°, rel. 45
2θ = 26.52°, rel. 25
2θ = 35.80°, rel. 26
2θ = 40.04°, rel. 95
2θ = 40.09°, rel. 54
2θ = 42.68°, rel. 42